Entry 1:
For Ba2ZnH6Au, a cell relaxed with PBE gives the calculated powder XRD pattern in this record (a wavelength of 1.5418 Å).

Atomic structure:
Lattice parameters (Å, degrees): 9.9731 5.7359 6.0139 90.00 122.98 90.00
Space group Cm (No. 8)
Symmetry-distinct sites (fractional):
1 Ba 0.0000 0.0000 0.0000 (multiplicity 2)
2 Ba 0.0044 0.5000 0.5131 (multiplicity 2)
3 Zn 0.2428 0.5000 0.2286 (multiplicity 2)
4 H 0.2232 0.2713 0.4018 (multiplicity 4)
5 H 0.2315 0.2683 0.9633 (multiplicity 4)
6 H 0.4516 0.5000 0.4020 (multiplicity 2)
7 H 0.4977 0.0000 0.9643 (multiplicity 2)
8 Au 0.2778 0.0000 0.8343 (multiplicity 2)

Top 10 peaks for 10 to 80 degrees two-theta, most intense first:
| 2θ/deg | Rel. int. |
| --- | --- |
| 31.13 | 100 |
| 29.60 | 67 |
| 29.78 | 33 |
| 43.67 | 24 |
| 18.77 | 18 |
| 54.52 | 14 |
| 55.44 | 13 |
| 43.26 | 12 |
| 54.29 | 12 |
| 54.63 | 12 |

Entry 2:
For BaNaHfAu, a cell relaxed with PBE gives the calculated powder XRD pattern in this record (a wavelength of 1.5418 Å).

Atomic structure:
Lattice parameters (Å, degrees): 3.5778 3.5778 9.4265 90.00 90.00 90.00
Space group P4mm (No. 99)
Symmetry-distinct sites (fractional):
1 Ba 0.0000 0.0000 0.0000 (multiplicity 1)
2 Na 0.5000 0.5000 0.3536 (multiplicity 1)
3 Hf 0.5000 0.5000 0.7037 (multiplicity 1)
4 Au 0.0000 0.0000 0.5730 (multiplicity 1)

Top 10 peaks for 10 to 80 degrees two-theta, most intense first:
| 2θ/deg | Rel. int. |
| --- | --- |
| 31.39 | 100 |
| 35.48 | 59 |
| 38.12 | 38 |
| 46.10 | 38 |
| 18.83 | 31 |
| 61.17 | 30 |
| 36.78 | 26 |
| 55.06 | 24 |
| 51.06 | 21 |
| 40.47 | 19 |

Entry 3:
For Ba2HfTe5Au, a cell relaxed with PBE gives the calculated powder XRD pattern in this record (a wavelength of 1.5418 Å).

Atomic structure:
Lattice parameters (Å, degrees): 4.3633 21.4713 13.5576 90.00 90.00 90.00
Space group Cmc2_1 (No. 36)
Symmetry-distinct sites (fractional):
1 Ba 0.0000 0.1181 0.0000 (multiplicity 4)
2 Ba 0.0000 0.1237 0.4042 (multiplicity 4)
3 Hf 0.0000 0.2218 0.6960 (multiplicity 4)
4 Te 0.0000 0.0834 0.7024 (multiplicity 4)
5 Te 0.0000 0.2818 0.0508 (multiplicity 4)
6 Te 0.0000 0.2912 0.3391 (multiplicity 4)
7 Te 0.0000 0.3537 0.7006 (multiplicity 4)
8 Te 0.0000 0.4971 0.4199 (multiplicity 4)
9 Au 0.0000 0.4537 0.0990 (multiplicity 4)

Top 10 peaks for 10 to 80 degrees two-theta, most intense first:
| 2θ/deg | Rel. int. |
| --- | --- |
| 28.74 | 100 |
| 25.75 | 61 |
| 44.95 | 30 |
| 41.39 | 29 |
| 29.18 | 27 |
| 49.39 | 21 |
| 32.09 | 21 |
| 38.25 | 18 |
| 10.51 | 18 |
| 34.07 | 18 |